# 1
For PrGeAu, a DFT-relaxed cell (PBE, OQMD) gives the calculated X-ray diffraction stick pattern in this record (Cu Kα).
Kinematic intensities with the Lorentz-polarization factor, no thermal factor.

Main lines, by angle (2θ = 10–90°):
2θ/deg, intensity, h k l
25.37, 32, 1 0 1
32.30, 100, 1 0 2
39.74, 67, 1 1 0
41.57, 17, 1 0 3
46.44, 10, 0 0 4
52.10, 26, 2 0 2
62.74, 26, 1 1 4
64.07, 8, 1 0 5
67.47, 24, 2 1 2
72.12, 12, 3 0 0

Cell and atoms:
Unit cell a=4.5366 b=4.5366 c=7.8211 alpha=90.00 beta=90.00 gamma=120.00
Space group P6_3mc (No. 186)
Unique sites:
Pr (0.0000, 0.0000, 0.0000) (multiplicity 2)
Ge (0.3333, 0.6667, 0.2146) (multiplicity 2)
Au (0.3333, 0.6667, 0.7753) (multiplicity 2)



# 2
For Pr3Ge4Au2, a DFT-relaxed cell (PBE, OQMD) gives the calculated X-ray diffraction stick pattern in this record (Cu Kα).
Kinematic intensities with the Lorentz-polarization factor, no thermal factor.

Main lines, by angle (2θ = 10–90°):
2θ/deg, intensity, h k l
21.05, 13, 2 0 1
31.55, 100, 3 1 0
31.86, 49, 0 0 3
40.60, 27, 0 2 0
41.35, 49, 3 1 -3
42.82, 22, 4 0 2
52.51, 24, 0 2 3
60.48, 16, 4 2 2
61.04, 30, 7 1 -1
89.84, 16, 6 2 -6

Cell and atoms:
Unit cell a=11.3083 b=4.4439 c=8.6275 alpha=90.00 beta=102.36 gamma=90.00
Space group C2/m (No. 12)
Unique sites:
Pr (0.0000, 0.0000, 0.0000) (multiplicity 2)
Pr (0.1627, 0.5000, 0.6708) (multiplicity 4)
Ge (0.0541, 0.0000, 0.3868) (multiplicity 4)
Ge (0.2166, 0.5000, 0.0485) (multiplicity 4)
Au (0.1164, 0.5000, 0.2842) (multiplicity 4)



# 3
For PrTmGe2Au2, a DFT-relaxed cell (PBE, OQMD) gives the calculated X-ray diffraction stick pattern in this record (Cu Kα).
Kinematic intensities with the Lorentz-polarization factor, no thermal factor.

Main lines, by angle (2θ = 10–90°):
2θ/deg, intensity, h k l
25.78, 31, 1 0 1
33.17, 100, 0 1 2
40.12, 70, 1 1 0
42.99, 16, 1 0 3
48.55, 7, 0 0 4
53.01, 27, 2 0 2
64.74, 17, 1 1 4
68.51, 25, 1 2 2
72.90, 12, 3 0 0
86.63, 8, 2 2 0

Cell and atoms:
Unit cell a=4.4949 b=4.4949 c=7.5015 alpha=90.00 beta=90.00 gamma=120.00
Space group P3m1 (No. 156)
Unique sites:
Pr (0.0000, 0.0000, 0.0000) (multiplicity 1)
Tm (0.0000, 0.0000, 0.4963) (multiplicity 1)
Ge (0.3333, 0.6667, 0.2208) (multiplicity 1)
Ge (0.6667, 0.3333, 0.6987) (multiplicity 1)
Au (0.3333, 0.6667, 0.7515) (multiplicity 1)
Au (0.6667, 0.3333, 0.3078) (multiplicity 1)